Theoretical powder X-ray diffraction pattern
Compound: Cs4Th3CuSe8
Radiation: CuKα
Structure: a DFT-relaxed cell (PBE, Alexandria)
Neutral-atom scattering factors, no anomalous dispersion.

Structure:
```
data_Cs4Th3CuSe8
_chemical_formula_sum 'Cs4 Th3 Cu1 Se8'
_cell_length_a 8.6878
_cell_length_b 8.6878
_cell_length_c 9.7749
_cell_angle_alpha 116.54
_cell_angle_beta 116.54
_cell_angle_gamma 59.33
_symmetry_space_group_name_H-M 'P 1'
_symmetry_Int_Tables_number 1
_symmetry_space_group_name_Hall 'P 1'
loop_
_atom_site_label
_atom_site_fract_x
_atom_site_fract_y
_atom_site_fract_z
Cs1 0.0000 0.0000 0.0000
Cs2 0.0000 0.5000 0.0000
Cs3 0.5000 0.0000 0.0000
Cs4 0.5000 0.5000 0.0000
Th1 0.0000 0.0000 0.5000
Th2 0.0000 0.5000 0.5000
Th3 0.5000 0.0000 0.5000
Cu1 0.5000 0.5000 0.5000
Se1 0.2306 0.2306 0.6946
Se2 0.2315 0.7232 0.6808
Se3 0.2661 0.2661 0.3109
Se4 0.2768 0.7685 0.3192
Se5 0.7232 0.2315 0.6808
Se6 0.7339 0.7339 0.6891
Se7 0.7685 0.2768 0.3192
Se8 0.7694 0.7694 0.3054
```

The 10 most intense peaks (10 to 80 degrees two-theta), in order of rising 2θ:
2theta, d/Å, I_rel
10.55, 8.383, 29
21.20, 4.191, 20
24.86, 3.582, 16
27.55, 3.237, 53
27.78, 3.211, 100
37.24, 2.415, 17
37.38, 2.406, 35
41.58, 2.172, 37
42.03, 2.150, 18
50.99, 1.791, 19

***

Theoretical powder X-ray diffraction pattern
Compound: Ti4H5
Radiation: CuKα
Structure: a DFT-relaxed cell (PBE, Alexandria)
Neutral-atom scattering factors, no anomalous dispersion.

Structure:
```
data_Ti4H5
_chemical_formula_sum 'Ti4 H5'
_cell_length_a 4.2203
_cell_length_b 4.2203
_cell_length_c 4.5400
_cell_angle_alpha 90.00
_cell_angle_beta 90.00
_cell_angle_gamma 90.00
_symmetry_space_group_name_H-M 'P 1'
_symmetry_Int_Tables_number 1
_symmetry_space_group_name_Hall 'P 1'
loop_
_atom_site_label
_atom_site_fract_x
_atom_site_fract_y
_atom_site_fract_z
Ti1 0.2429 0.2429 0.2462
Ti2 0.2429 0.7571 0.7538
Ti3 0.7571 0.2429 0.7538
Ti4 0.7571 0.7571 0.2462
H1 0.0000 0.5000 0.0000
H2 0.0000 0.5000 0.5000
H3 0.5000 0.0000 0.0000
H4 0.5000 0.0000 0.5000
H5 0.5000 0.5000 0.5000
```

The 8 most intense peaks (10 to 80 degrees two-theta), in order of rising 2θ:
2theta, d/Å, I_rel
36.02, 2.494, 100
39.71, 2.270, 17
42.86, 2.110, 27
59.84, 1.546, 20
62.22, 1.492, 9
69.66, 1.350, 12
74.04, 1.280, 19
76.38, 1.247, 9